(1)
For La10Ga5Cl4, a DFT-relaxed cell (GGA-PBE, Alexandria) gives the theoretical powder diffractogram in this record (Cu Kα X-rays).
Intensities are scaled so that the largest is 100.

```
data_La10Ga5Cl4
_symmetry_space_group_name_H-M 'I 4/m c m'
_symmetry_Int_Tables_number 140
_symmetry_space_group_name_Hall '-I 4 2c'
_cell_length_a 8.065
_cell_length_b 8.065
_cell_length_c 32.373
_cell_angle_alpha 90.00
_cell_angle_beta 90.00
_cell_angle_gamma 90.00
loop_
_atom_site_label
_atom_site_type_symbol
_atom_site_fract_x
_atom_site_fract_y
_atom_site_fract_z
_atom_site_occupancy
La1 La 0.000 0.000 0.153 1
La2 La 0.168 0.332 0.202 1
La3 La 0.174 0.326 0.070 1
Ga1 Ga 0.000 0.000 0.250 1
Ga2 Ga 0.121 0.379 0.368 1
Cl1 Cl 0.000 0.000 0.057 1
Cl2 Cl 0.142 0.358 0.500 1
```

Top 10 peaks for 10° ≤ 2θ ≤ 90°, sorted by position:
d_spacing	two_theta	I/Imax
4.044	21.98	10.2
3.585	24.84	15.3
2.854	31.34	30.6
2.844	31.45	100.0
2.815	31.79	11.4
2.550	35.19	51.2
2.524	35.57	15.2
2.312	38.95	10.1
1.802	50.66	24.0
1.425	65.50	12.5

***

(2)
For La4GaCl6, a DFT-relaxed cell (GGA-PBE, Alexandria) gives the theoretical powder diffractogram in this record (Cu Kα X-rays).
Intensities are scaled so that the largest is 100.

```
data_La4GaCl6
_symmetry_space_group_name_H-M 'P 42/n m c'
_symmetry_Int_Tables_number 137
_cell_length_a 9.815
_cell_length_b 9.815
_cell_length_c 6.796
_cell_angle_alpha 90.00
_cell_angle_beta 90.00
_cell_angle_gamma 90.00
loop_
_symmetry_equiv_pos_as_xyz
'x,y,z'
'-x,-y,-z'
'-y+1/2,x,z+1/2'
'y+1/2,-x,-z+1/2'
'-x+1/2,-y+1/2,z'
'x+1/2,y+1/2,-z'
'y,-x+1/2,z+1/2'
'-y,x+1/2,-z+1/2'
'x+1/2,-y,-z'
'-x+1/2,y,z'
'-y,-x,-z+1/2'
'y,x,z+1/2'
'-x,y+1/2,-z'
'x,-y+1/2,z'
'y+1/2,x+1/2,-z+1/2'
'-y+1/2,-x+1/2,z+1/2'
loop_
_atom_site_label
_atom_site_type_symbol
_atom_site_fract_x
_atom_site_fract_y
_atom_site_fract_z
_atom_site_occupancy
La1 La 0.017 0.750 0.015 1
Ga1 Ga 0.250 0.750 0.250 1
Cl1 Cl 0.015 0.515 0.750 1
Cl2 Cl 0.250 0.250 0.246 1
```

Top 10 peaks for 10° ≤ 2θ ≤ 90°, sorted by position:
d_spacing	two_theta	I/Imax
3.978	22.35	100.0
3.470	25.67	7.1
2.454	36.62	30.6
2.428	37.03	60.5
2.088	43.33	31.8
2.057	44.03	15.5
1.735	52.76	9.4
1.576	58.56	12.1
1.412	66.21	17.4
1.397	67.00	8.9

***

(3)
For Li2GaCl5, a DFT-relaxed cell (GGA-PBE, Alexandria) gives the theoretical powder diffractogram in this record (Cu Kα X-rays).
Intensities are scaled so that the largest is 100.

```
data_Li2GaCl5
_symmetry_space_group_name_H-M 'P n n m'
_symmetry_Int_Tables_number 58
_cell_length_a 10.212
_cell_length_b 12.515
_cell_length_c 7.351
_cell_angle_alpha 90.00
_cell_angle_beta 90.00
_cell_angle_gamma 90.00
loop_
_symmetry_equiv_pos_as_xyz
'x,y,z'
'-x,-y,-z'
'-x,-y,z'
'x,y,-z'
'x+1/2,-y+1/2,-z+1/2'
'-x+1/2,y+1/2,z+1/2'
'-x+1/2,y+1/2,-z+1/2'
'x+1/2,-y+1/2,z+1/2'
loop_
_atom_site_label
_atom_site_type_symbol
_atom_site_fract_x
_atom_site_fract_y
_atom_site_fract_z
_atom_site_occupancy
Li1 Li 0.000 0.000 0.216 1
Li2 Li 0.108 0.273 0.000 1
Ga1 Ga 0.226 0.236 0.500 1
Cl1 Cl 0.049 0.132 0.500 1
Cl2 Cl 0.101 0.632 0.000 1
Cl3 Cl 0.124 0.093 0.000 1
Cl4 Cl 0.226 0.344 0.262 1
```

Top 10 peaks for 10° ≤ 2θ ≤ 90°, sorted by position:
d_spacing	two_theta	I/Imax
6.257	14.15	43.1
5.385	16.46	100.0
5.106	17.37	27.4
3.956	22.47	32.2
3.676	24.21	17.9
3.419	26.06	24.1
3.027	29.51	61.7
2.992	29.87	39.3
2.159	41.84	31.1
1.944	46.72	21.0

***

(4)
For LiGa2Cl, a DFT-relaxed cell (GGA-PBE, Alexandria) gives the theoretical powder diffractogram in this record (Cu Kα X-rays).
Intensities are scaled so that the largest is 100.

```
data_LiGa2Cl
_symmetry_space_group_name_H-M 'I -4 2 d'
_symmetry_Int_Tables_number 122
_symmetry_space_group_name_Hall 'I -4 2bw'
_cell_length_a 8.615
_cell_length_b 8.615
_cell_length_c 4.914
_cell_angle_alpha 90.00
_cell_angle_beta 90.00
_cell_angle_gamma 90.00
loop_
_atom_site_label
_atom_site_type_symbol
_atom_site_fract_x
_atom_site_fract_y
_atom_site_fract_z
_atom_site_occupancy
Li1 Li 0.000 0.000 0.000 1
Ga1 Ga 0.207 0.250 0.125 1
Cl1 Cl 0.000 0.000 0.500 1
```

Top 10 peaks for 10° ≤ 2θ ≤ 90°, sorted by position:
d_spacing	two_theta	I/Imax
4.308	20.62	72.6
3.046	29.32	100.0
3.032	29.46	44.5
2.479	36.23	22.3
2.278	39.55	68.1
2.154	41.95	28.9
1.924	47.24	22.2
1.825	49.99	51.1
1.626	56.60	23.1
1.522	60.88	21.4

***

(5)
For NaLiGa2Cl8, a DFT-relaxed cell (GGA-PBE, Alexandria) gives the theoretical powder diffractogram in this record (Cu Kα X-rays).
Intensities are scaled so that the largest is 100.

```
data_NaLiGa2Cl8
_symmetry_space_group_name_H-M 'I -4 m 2'
_symmetry_Int_Tables_number 119
_symmetry_space_group_name_Hall 'I -4 -2'
_cell_length_a 12.136
_cell_length_b 12.136
_cell_length_c 6.664
_cell_angle_alpha 90.00
_cell_angle_beta 90.00
_cell_angle_gamma 90.00
loop_
_atom_site_label
_atom_site_type_symbol
_atom_site_fract_x
_atom_site_fract_y
_atom_site_fract_z
_atom_site_occupancy
Na1 Na 0.000 0.000 0.000 1
Li1 Li 0.000 0.500 0.750 1
Ga1 Ga 0.000 0.000 0.500 1
Ga2 Ga 0.000 0.500 0.250 1
Cl1 Cl 0.000 0.147 0.694 1
Cl2 Cl 0.000 0.361 0.036 1
```

Top 10 peaks for 10° ≤ 2θ ≤ 90°, sorted by position:
d_spacing	two_theta	I/Imax
6.068	14.60	100.0
5.841	15.17	17.5
4.208	21.11	63.2
3.034	29.44	7.6
2.692	33.28	29.7
2.516	35.69	21.8
2.170	41.61	23.3
2.023	44.81	10.1
1.765	51.79	15.0
1.468	63.34	6.8

***

(6)
For Li4Ga3Si3ClO12, a DFT-relaxed cell (GGA-PBE, Alexandria) gives the theoretical powder diffractogram in this record (Cu Kα X-rays).
Intensities are scaled so that the largest is 100.

```
data_Li4Ga3Si3ClO12
_symmetry_space_group_name_H-M 'P -4 3 n'
_symmetry_Int_Tables_number 218
_symmetry_space_group_name_Hall 'P -4n 2 3'
_cell_length_a 8.606
_cell_length_b 8.606
_cell_length_c 8.606
_cell_angle_alpha 90.00
_cell_angle_beta 90.00
_cell_angle_gamma 90.00
loop_
_atom_site_label
_atom_site_type_symbol
_atom_site_fract_x
_atom_site_fract_y
_atom_site_fract_z
_atom_site_occupancy
Li1 Li 0.170 0.170 0.170 1
Ga1 Ga 0.000 0.250 0.500 1
Si1 Si 0.000 0.500 0.250 1
Cl1 Cl 0.000 0.000 0.000 1
O1 O 0.099 0.373 0.646 1
```

Top 10 peaks for 10° ≤ 2θ ≤ 90°, sorted by position:
d_spacing	two_theta	I/Imax
6.085	14.56	80.2
4.303	20.64	27.7
3.849	23.11	24.6
3.513	25.35	100.0
2.484	36.16	50.8
2.300	39.17	39.5
1.878	48.47	13.1
1.521	60.90	33.8
1.396	67.04	13.3
1.297	72.91	14.9